Diffraction record for Nd5Bi2Te2. The powder diffractogram is calculated, not measured: it uses a structure optimized by DFT (PBE) and Cu Kα (λ = 1.5418 Å).
Lines closer than 0.1° are merged.

Most intense lines, 2θ = 10–90°, low angle first:
2theta	I_rel
26.1	34
28.9	87
32.6	69
34.1	100
44.1	30
61.7	37

Atomic structure:
Unit cell a=9.0712 b=9.0712 c=8.4523 alpha=90.00 beta=90.00 gamma=55.36
Atoms (fractional coordinates):
Nd  0.0000  0.0000  0.0000
Nd  0.0216  0.7018  0.6574
Nd  0.2018  0.5216  0.1574
Nd  0.2982  0.9784  0.6574
Nd  0.4784  0.7982  0.1574
Nd  0.5000  0.5000  0.5000
Nd  0.5216  0.2018  0.8426
Nd  0.7018  0.0216  0.3426
Nd  0.7982  0.4784  0.8426
Nd  0.9784  0.2982  0.3426
Bi  0.1430  0.8570  0.3574
Bi  0.3570  0.6430  0.8574
Bi  0.6430  0.3570  0.1426
Bi  0.8570  0.1430  0.6426
Te  0.1975  0.1975  0.0000
Te  0.3025  0.3025  0.5000
Te  0.6975  0.6975  0.5000
Te  0.8025  0.8025  0.0000